For Ac3V4O12, a GGA+U-relaxed structure gives the calculated XRD peak list in this record (Cu Ka).

a = 6.8008 Å, b = 6.8625 Å, c = 6.8663 Å
α = 109.03°, β = 109.67°, γ = 109.41°
Fractional positions:
1 Ac 0.0000 0.0000 0.0000
2 Ac 0.0000 0.5000 0.5000
3 Ac 0.5000 0.0000 0.5000
4 V 0.0000 0.0000 0.5000
5 V 0.0000 0.5000 0.0000
6 V 0.5000 0.0000 0.0000
7 V 0.5000 0.5000 0.5000
8 O 0.0217 0.7578 0.2608
9 O 0.2367 0.9868 0.7409
10 O 0.2381 0.2376 0.4822
11 O 0.2513 0.4947 0.2626
12 O 0.2517 0.7655 0.9978
13 O 0.4961 0.7606 0.7366
14 O 0.5039 0.2394 0.2634
15 O 0.7483 0.2345 0.0022
16 O 0.7487 0.5053 0.7374
17 O 0.7619 0.7624 0.5178
18 O 0.7633 0.0132 0.2591
19 O 0.9783 0.2422 0.7392

Largest 10 diffraction maxima, low angle first, 2θ from 15° to 90°:
Position (°2θ), d (Å), intensity
15.75, 5.628, 306
15.89, 5.577, 576
22.56, 3.941, 357
31.80, 2.814, 682
32.06, 2.792, 1000
32.21, 2.779, 329
39.35, 2.289, 390
45.53, 1.992, 218
45.99, 1.974, 210
46.13, 1.968, 207